No. 1
This entry pairs a crystal structure of Dy2InAu2 with its calculated X-ray powder pattern. Radiation: λ = 1.5418 Å (Cu Kα). Structure: a cell relaxed with PBE.
Lines closer than 0.1° are merged.

Structure:
```
10
Lattice="7.9800 0.0000 0.0000 0.0000 7.9800 0.0000 0.0000 0.0000 3.7377" Properties=species:S:1:pos:R:3 pbc="T T T"
Dy 1.3512 2.6388 0.0000
Dy 2.6388 6.6288 0.0000
Dy 5.3412 1.3512 0.0000
Dy 6.6288 5.3412 0.0000
In 0.0000 0.0000 1.8688
In 3.9900 3.9900 1.8688
Au 1.0272 5.0172 1.8688
Au 2.9628 1.0272 1.8688
Au 5.0172 6.9527 1.8688
Au 6.9527 2.9628 1.8688
```

Most intense lines, 10° ≤ 2θ ≤ 80°, in order of falling intensity:
Position (°2θ), Rel. int.
34.8, 100
35.6, 39
61.8, 16
32.8, 15
68.1, 15
15.7, 13

=====

No. 2
This entry pairs a crystal structure of LaMgTiS4 with its calculated X-ray powder pattern. Radiation: λ = 1.5418 Å (Cu Kα). Structure: a cell relaxed with PBE.
Lines closer than 0.1° are merged.

Structure:
```
14
Lattice="7.5275 0.0000 0.0000 3.7100 6.8193 0.0000 3.7362 2.0226 6.5098" Properties=species:S:1:pos:R:3 pbc="T T T"
La 0.0000 0.0000 0.0000
La 3.7231 4.4210 3.2549
Mg 7.4834 4.3362 5.7024
Mg 7.4902 4.5057 0.8074
Ti 1.8681 1.0113 3.2549
Ti 5.6318 1.0113 3.2549
S 5.6650 5.8259 1.7791
S 3.7436 1.9792 1.7666
S 7.4647 6.6948 4.6207
S 5.6809 3.0174 4.7308
S 9.2928 5.8245 1.7790
S 7.5090 2.1471 1.8890
S 11.2301 6.8628 4.7432
S 9.3087 3.0160 4.7307
```

Most intense lines, 10° ≤ 2θ ≤ 80°, in order of falling intensity:
Position (°2θ), Rel. int.
14.3, 100
32.6, 92
26.3, 72
32.4, 48
46.6, 42
46.8, 41

=====

No. 3
This entry pairs a crystal structure of NaLaZrTiO6 with its calculated X-ray powder pattern. Radiation: λ = 1.5418 Å (Cu Kα). Structure: a cell relaxed with PBE.
Lines closer than 0.1° are merged.

Structure:
```
10
Lattice="0.0000 4.0335 4.0335 4.0335 0.0000 4.0335 4.0335 4.0335 0.0000" Properties=species:S:1:pos:R:3 pbc="T T T"
Na 0.0000 0.0000 0.0000
La 4.0335 4.0335 4.0335
Zr 6.0502 6.0502 6.0502
Ti 2.0167 2.0167 2.0167
O 2.0167 2.0167 0.0636
O 2.0167 0.0636 2.0167
O 3.9699 2.0167 2.0167
O 0.0636 2.0167 2.0167
O 2.0167 3.9699 2.0167
O 2.0167 2.0167 3.9699
```

Most intense lines, 10° ≤ 2θ ≤ 80°, in order of falling intensity:
Position (°2θ), Rel. int.
31.4, 100
19.1, 45
44.9, 39
55.8, 39
37.0, 26
65.4, 22

=====

No. 4
This entry pairs a crystal structure of Ho11Ge10 with its calculated X-ray powder pattern. Radiation: λ = 1.5418 Å (Cu Kα). Structure: a cell relaxed with PBE.
Lines closer than 0.1° are merged.

Structure:
```
42
Lattice="-5.4548 5.4548 8.2065 5.4548 -5.4548 8.2065 5.4548 5.4548 -8.2065" Properties=species:S:1:pos:R:3 pbc="T T T"
Ho 5.4548 2.7037 -3.1214
Ho 3.5353 0.0000 1.6835
Ho 7.3743 0.0000 1.6835
Ho 0.0000 0.0000 2.6262
Ho 5.4548 -1.9195 6.5230
Ho 2.7037 5.4548 -3.1214
Ho 2.7511 0.0000 5.0851
Ho 3.5178 3.5178 0.0000
Ho 1.9370 -1.9370 8.2065
Ho 0.0000 3.5353 1.6835
Ho 5.4548 2.7037 3.1214
Ho 0.0000 2.7511 5.0851
Ho 5.4548 1.9195 6.5230
Ho -1.9370 1.9370 8.2065
Ho 1.9370 1.9370 8.2065
Ho 2.7037 5.4548 3.1214
Ho 2.7511 0.0000 11.3280
Ho 0.0000 7.3743 1.6835
Ho 0.0000 0.0000 13.7868
Ho -1.9195 5.4548 6.5230
Ho 1.9195 5.4548 6.5230
Ho 0.0000 2.7511 11.3280
Ge 2.2893 2.2893 -2.9736
Ge 3.1655 -3.1655 5.2329
Ge 1.3096 1.3096 0.0000
Ge 4.1452 -4.1452 8.2065
Ge 5.4548 1.5210 0.0000
Ge 5.4548 0.0000 4.1033
Ge 0.0000 0.0000 6.3528
Ge 2.2893 2.2893 2.9736
Ge 3.1655 -3.1655 11.1801
Ge 1.5210 5.4548 0.0000
Ge 3.9337 0.0000 8.2065
Ge -3.1655 3.1655 5.2329
Ge 3.1655 3.1655 5.2329
Ge 0.0000 0.0000 10.0602
Ge 0.0000 5.4548 4.1033
Ge 0.0000 3.9337 8.2065
Ge -4.1452 4.1452 8.2065
Ge 4.1452 4.1452 8.2065
Ge -3.1655 3.1655 11.1801
Ge 3.1655 3.1655 11.1801
```

Most intense lines, 10° ≤ 2θ ≤ 80°, in order of falling intensity:
Position (°2θ), Rel. int.
32.9, 100
33.9, 94
34.9, 52
34.7, 31
36.9, 30
53.1, 17

=====

No. 5
This entry pairs a crystal structure of NdI3O9 with its calculated X-ray powder pattern. Radiation: λ = 1.5418 Å (Cu Kα). Structure: a cell relaxed with PBE.
Lines closer than 0.1° are merged.

Structure:
```
52
Lattice="8.9428 0.0000 0.0000 0.0000 6.0470 0.0000 -7.1424 0.0000 15.4423" Properties=species:S:1:pos:R:3 pbc="T T T"
Nd 0.5346 1.3921 1.5472
Nd -3.0367 1.6314 9.2683
Nd 4.8370 4.4156 6.1739
Nd 1.2658 4.6549 13.8951
I -1.8911 1.1292 5.4295
I -5.4623 1.8943 13.1506
I -0.5207 3.8493 8.0721
I 3.0505 5.2212 0.3510
I -2.0001 3.5676 12.3870
I 1.5711 5.5029 4.6659
I 0.2293 0.5441 10.7764
I 3.8005 2.4794 3.0552
I -1.2502 0.8258 15.0913
I 2.3210 2.1977 7.3701
I 7.2626 4.1527 2.2917
I 3.6914 4.9178 10.0128
O -4.4529 0.3074 10.8444
O -0.8817 2.7161 3.1233
O -2.4511 0.5611 7.0903
O -6.0223 2.4624 14.8114
O -3.9363 3.6653 10.3568
O -0.3651 5.4052 2.6357
O -2.3076 3.6258 7.5780
O -5.8788 5.4447 15.2991
O -3.3297 3.5446 13.6509
O 0.2415 5.5259 5.9298
O 1.2519 1.1083 3.9360
O -2.3194 1.9152 11.6571
O -3.5533 0.5215 14.6119
O 0.0179 2.5020 6.8908
O 2.3553 3.0267 2.0324
O -1.2159 6.0438 9.7536
O 2.7393 0.2009 1.8454
O -0.8319 2.8226 9.5665
O 2.6322 3.2244 5.8757
O -0.9390 5.8461 13.5968
O 3.0162 0.0032 5.6887
O -0.5550 3.0203 13.4098
O 1.7824 3.5450 8.5514
O 5.3536 5.5255 0.8303
O 4.1197 4.1318 3.7852
O 0.5485 4.9387 11.5063
O 1.5588 0.5211 9.5125
O 5.1300 2.5024 1.7914
O 7.6792 0.6023 0.1431
O 4.1079 2.4212 7.8643
O 2.1655 0.6418 12.8066
O 5.7367 2.3817 5.0855
O 7.8227 3.5846 0.6308
O 4.2514 5.4859 8.3520
O 2.6820 3.3309 12.3190
O 6.2532 5.7396 4.5979
```

Most intense lines, 10° ≤ 2θ ≤ 80°, in order of falling intensity:
Position (°2θ), Rel. int.
25.6, 100
26.4, 79
22.7, 48
29.5, 39
31.4, 25
31.3, 24

=====

No. 6
This entry pairs a crystal structure of Gd3Cu3Sb4 with its calculated X-ray powder pattern. Radiation: λ = 1.5418 Å (Cu Kα). Structure: a cell relaxed with PBE.
Lines closer than 0.1° are merged.

Structure:
```
20
Lattice="-4.8343 4.8343 4.8343 4.8343 -4.8343 4.8343 4.8343 4.8343 -4.8343" Properties=species:S:1:pos:R:3 pbc="T T T"
Gd 4.8343 -2.4172 3.6258
Gd 3.6258 4.8343 -2.4172
Gd 4.8343 2.4172 1.2086
Gd 2.4172 1.2086 4.8343
Gd 1.2086 4.8343 2.4172
Gd -2.4172 3.6258 4.8343
Cu 7.2515 1.2086 0.0000
Cu 3.6258 0.0000 2.4172
Cu 2.4172 3.6258 0.0000
Cu 0.0000 2.4172 3.6258
Cu 1.2086 0.0000 7.2515
Cu 0.0000 7.2515 1.2086
Sb 3.1861 1.6482 -1.6482
Sb 5.6033 -0.7689 0.7689
Sb 1.6482 -1.6482 3.1861
Sb 1.6482 1.6482 1.6482
Sb -1.6482 3.1861 1.6482
Sb 0.7689 5.6033 -0.7689
Sb -0.7689 0.7689 5.6033
Sb 4.0654 4.0654 4.0654
```

Most intense lines, 10° ≤ 2θ ≤ 80°, in order of falling intensity:
Position (°2θ), Rel. int.
34.7, 100
29.2, 54
41.8, 36
58.9, 18
46.0, 17
71.7, 15

=====

No. 7
This entry pairs a crystal structure of NaH2SeO4 with its calculated X-ray powder pattern. Radiation: λ = 1.5418 Å (Cu Kα). Structure: a cell relaxed with PBE.
Lines closer than 0.1° are merged.

Structure:
```
32
Lattice="3.4759 -5.6762 0.0000 3.4759 5.6762 0.0000 0.0000 0.0000 9.8174" Properties=species:S:1:pos:R:3 pbc="T T T"
Na 1.6505 1.8909 0.0000
Na 1.6505 -1.8909 4.9087
Na 5.3013 1.8909 0.0000
Na 5.3013 -1.8909 4.9087
H 1.8161 0.9827 5.2020
H 3.4759 3.5596 2.5200
H 3.4759 2.0891 2.9851
H 1.8161 -0.9827 0.2933
H 5.1357 0.9827 5.2020
H 3.4759 -2.0891 7.8939
H 3.4759 -3.5596 7.4288
H 5.1357 -0.9827 0.2933
Se 3.4759 4.5876 8.1237
Se 3.4759 0.7273 6.8304
Se 3.4759 -0.7273 1.9217
Se 3.4759 -4.5876 3.2149
O 3.4759 4.5551 6.4649
O 2.0905 1.5453 6.0095
O 1.3786 0.2837 3.7697
O 1.3786 -0.2837 8.6785
O 3.4759 3.0438 8.7712
O 3.4759 3.0126 3.3266
O 3.4759 0.7707 1.1729
O 2.0905 -1.5453 1.1008
O 4.8613 1.5453 6.0095
O 3.4759 -0.7707 6.0816
O 3.4759 -3.0126 8.2353
O 3.4759 -3.0438 3.8625
O 5.5732 0.2837 3.7697
O 5.5732 -0.2837 8.6785
O 4.8613 -1.5453 1.1008
O 3.4759 -4.5551 1.5562
```

Most intense lines, 10° ≤ 2θ ≤ 80°, in order of falling intensity:
Position (°2θ), Rel. int.
31.5, 100
23.5, 96
28.3, 89
17.5, 65
56.2, 33
39.7, 23

=====

No. 8
This entry pairs a crystal structure of CaP6H4N12 with its calculated X-ray powder pattern. Radiation: λ = 1.5418 Å (Cu Kα). Structure: a cell relaxed with PBE.
Lines closer than 0.1° are merged.

Structure:
```
46
Lattice="4.3659 -2.4757 0.0000 4.3659 2.4757 0.0000 0.0000 0.0000 22.4655" Properties=species:S:1:pos:R:3 pbc="T T T"
Ca 0.0000 0.0000 0.0000
Ca 4.3659 0.0000 11.2328
P 4.3659 2.0787 16.0295
P 1.4301 0.0236 13.3550
P 1.4301 -0.0236 9.1105
P 2.9358 0.0236 20.3433
P 2.9358 -0.0236 2.1222
P 4.3659 0.3970 4.7968
P 4.3659 -0.3970 17.6687
P 5.7959 0.0236 20.3433
P 5.7959 -0.0236 2.1222
P 7.3017 0.0236 13.3550
P 7.3017 -0.0236 9.1105
P 4.3659 -2.0787 6.4360
H 2.1788 0.1509 15.5505
H 2.1871 0.1509 18.1478
H 2.1788 -0.1509 6.9150
H 2.1871 -0.1509 4.3177
H 6.5447 0.1509 18.1478
H 6.5530 0.1509 15.5505
H 6.5447 -0.1509 4.3177
H 6.5530 -0.1509 6.9150
N 1.7168 0.9246 1.6483
N 4.3659 2.0012 12.7957
N 4.3659 1.9888 5.1105
N 2.6491 0.9246 9.5845
N 1.3061 0.0538 7.4133
N 1.3061 -0.0538 15.0522
N 3.0597 0.0538 3.8194
N 3.0597 -0.0538 18.6461
N 1.7168 -0.9246 20.8172
N 4.3659 0.4869 16.3433
N 4.3659 0.4745 1.5630
N 2.6491 -0.9246 12.8810
N 6.0827 0.9246 9.5845
N 4.3659 -0.4745 20.9025
N 4.3659 -0.4869 6.1222
N 7.0150 0.9246 1.6483
N 5.6720 0.0538 3.8194
N 5.6720 -0.0538 18.6461
N 7.4256 0.0538 7.4133
N 7.4256 -0.0538 15.0522
N 6.0827 -0.9246 12.8810
N 4.3659 -1.9888 17.3550
N 4.3659 -2.0012 9.6698
N 7.0150 -0.9246 20.8172
```

Most intense lines, 10° ≤ 2θ ≤ 80°, in order of falling intensity:
Position (°2θ), Rel. int.
23.8, 100
25.8, 65
36.0, 30
34.9, 29
36.3, 27
21.0, 25